# 1
Theoretical powder X-ray diffraction pattern of CaAg3 for Cu Kα (weighted mean of Kα1 and Kα2), from a GGA-PBE-relaxed structure.
Neutral-atom scattering factors, no anomalous dispersion.

Largest 6 diffraction maxima, sorted by position, 2θ from 10° to 90°:
d [Å], I/Imax
2.534, 100
2.205, 16
2.189, 32
1.554, 21
1.328, 12
1.321, 23

Atomic structure:
```
CaAg3
1.0
-2.1893 2.1893 4.4104
2.1893 -2.1893 4.4104
2.1893 2.1893 -4.4104
Ca Ag
1 3
Direct
0.0000 0.0000 0.0000 Ca
0.2500 0.7500 0.5000 Ag
0.5000 0.5000 0.0000 Ag
0.7500 0.2500 0.5000 Ag
```

# 2
Theoretical powder X-ray diffraction pattern of ScBiO3 for Cu Kα (weighted mean of Kα1 and Kα2), from a GGA-PBE-relaxed structure.
Neutral-atom scattering factors, no anomalous dispersion.

Largest 6 diffraction maxima, sorted by position, 2θ from 10° to 90°:
d [Å], I/Imax
5.000, 22
4.151, 51
4.093, 35
2.930, 100
2.897, 64
2.076, 23

Atomic structure:
```
ScBiO3
1.0
4.9904 -2.9468 0.0000
4.9904 2.9468 0.0000
-3.2880 0.0000 9.5949
Sc Bi O
4 4 12
Direct
0.0000 0.5000 0.0000 Sc
0.2505 0.7495 0.7500 Sc
0.5000 0.0000 0.5000 Sc
0.7495 0.2505 0.2500 Sc
0.0465 0.6865 0.3667 Bi
0.3135 0.9535 0.1333 Bi
0.6865 0.0465 0.8667 Bi
0.9535 0.3135 0.6333 Bi
0.1067 0.7314 0.9187 O
0.1171 0.1752 0.8365 O
0.1752 0.1171 0.3365 O
0.2686 0.8933 0.5813 O
0.3125 0.3716 0.6360 O
0.3716 0.3125 0.1360 O
0.6284 0.6875 0.8640 O
0.6875 0.6284 0.3640 O
0.7314 0.1067 0.4187 O
0.8248 0.8829 0.6635 O
0.8829 0.8248 0.1635 O
0.8933 0.2686 0.0813 O
```

# 3
Theoretical powder X-ray diffraction pattern of K2GaP2 for Cu Kα (weighted mean of Kα1 and Kα2), from a GGA-PBE-relaxed structure.
Neutral-atom scattering factors, no anomalous dispersion.

Largest 6 diffraction maxima, sorted by position, 2θ from 10° to 90°:
d [Å], I/Imax
7.684, 100
5.457, 72
4.865, 86
3.315, 69
2.854, 90
2.724, 70

Atomic structure:
```
K2GaP2
1.0
8.7522 0.0000 0.0000
0.0000 14.1020 0.0000
-5.3043 0.0000 9.7291
K Ga P
16 8 16
Direct
0.0117 0.1171 0.0680 K
0.0117 0.3829 0.5680 K
0.0787 0.6306 0.9015 K
0.0787 0.8694 0.4015 K
0.2885 0.1140 0.4739 K
0.2885 0.3860 0.9739 K
0.4876 0.1287 0.9618 K
0.4876 0.3713 0.4618 K
0.5124 0.6287 0.5382 K
0.5124 0.8713 0.0382 K
0.7115 0.6140 0.0261 K
0.7115 0.8860 0.5261 K
0.9213 0.1306 0.5985 K
0.9213 0.3694 0.0985 K
0.9883 0.6171 0.4320 K
0.9883 0.8829 0.9320 K
0.3539 0.7169 0.7455 Ga
0.3539 0.7831 0.2455 Ga
0.4921 0.0584 0.2569 Ga
0.4921 0.4416 0.7569 Ga
0.5079 0.5584 0.2431 Ga
0.5079 0.9416 0.7431 Ga
0.6461 0.2169 0.7545 Ga
0.6461 0.2831 0.2545 Ga
0.1334 0.6810 0.2173 P
0.1334 0.8190 0.7173 P
0.2350 0.5358 0.2218 P
0.2350 0.9642 0.7218 P
0.2908 0.5554 0.7425 P
0.2908 0.9446 0.2425 P
0.3909 0.2140 0.2247 P
0.3909 0.2860 0.7247 P
0.6091 0.7140 0.2753 P
0.6091 0.7860 0.7753 P
0.7092 0.0554 0.7575 P
0.7092 0.4446 0.2575 P
0.7650 0.0358 0.2782 P
0.7650 0.4642 0.7782 P
0.8666 0.1810 0.2827 P
0.8666 0.3190 0.7827 P
```

# 4
Theoretical powder X-ray diffraction pattern of RbDyS2O9 for Cu Kα (weighted mean of Kα1 and Kα2), from a GGA-PBE-relaxed structure.
Neutral-atom scattering factors, no anomalous dispersion.

Largest 6 diffraction maxima, sorted by position, 2θ from 10° to 90°:
d [Å], I/Imax
6.293, 100
6.237, 42
3.352, 93
3.247, 47
3.134, 30
3.099, 73

Atomic structure:
```
RbDyS2O9
1.0
10.1970 0.0000 0.0000
0.0000 8.6091 0.0000
-4.7952 0.0000 9.2225
Rb Dy S O
4 4 8 36
Direct
0.2200 0.1649 0.1798 Rb
0.2200 0.3351 0.6798 Rb
0.7800 0.6649 0.3202 Rb
0.7800 0.8351 0.8202 Rb
0.2485 0.6288 0.0298 Dy
0.2485 0.8712 0.5298 Dy
0.7515 0.1288 0.4702 Dy
0.7515 0.3712 0.9702 Dy
0.0612 0.6318 0.1856 S
0.0612 0.8682 0.6856 S
0.4868 0.6963 0.8883 S
0.4868 0.8037 0.3883 S
0.5132 0.1963 0.6117 S
0.5132 0.3037 0.1117 S
0.9388 0.1318 0.3144 S
0.9388 0.3682 0.8144 S
0.0678 0.7480 0.5833 O
0.0678 0.7520 0.0833 O
0.0894 0.7030 0.3258 O
0.0894 0.7970 0.8258 O
0.0896 0.0614 0.3786 O
0.0896 0.4386 0.8786 O
0.1728 0.5128 0.1993 O
0.1728 0.9872 0.6993 O
0.3401 0.6196 0.5609 O
0.3401 0.8804 0.0609 O
0.3575 0.6047 0.8758 O
0.3575 0.8953 0.3758 O
0.3954 0.0934 0.6089 O
0.3954 0.4066 0.1089 O
0.4386 0.7020 0.2566 O
0.4386 0.7980 0.7566 O
0.4532 0.2073 0.9787 O
0.4532 0.2927 0.4787 O
0.5468 0.7073 0.5213 O
0.5468 0.7927 0.0213 O
0.5614 0.2020 0.2434 O
0.5614 0.2980 0.7434 O
0.6046 0.5934 0.8911 O
0.6046 0.9066 0.3911 O
0.6425 0.1047 0.6242 O
0.6425 0.3953 0.1242 O
0.6599 0.1196 0.9391 O
0.6599 0.3804 0.4391 O
0.8272 0.0128 0.3007 O
0.8272 0.4872 0.8007 O
0.9104 0.5614 0.1214 O
0.9104 0.9386 0.6214 O
0.9106 0.2030 0.1742 O
0.9106 0.2970 0.6742 O
0.9322 0.2480 0.9167 O
0.9322 0.2520 0.4167 O
```

# 5
Theoretical powder X-ray diffraction pattern of Ba2LaI7 for Cu Kα (weighted mean of Kα1 and Kα2), from a GGA-PBE-relaxed structure.
Neutral-atom scattering factors, no anomalous dispersion.

Largest 6 diffraction maxima, sorted by position, 2θ from 10° to 90°:
d [Å], I/Imax
3.713, 65
3.104, 87
3.020, 67
3.003, 100
2.930, 86
2.897, 94

Atomic structure:
```
Ba2LaI7
1.0
7.9494 0.0000 0.0000
0.0000 18.1071 0.0000
-0.1936 0.0000 12.1795
Ba La I
8 4 28
Direct
0.2318 0.0604 0.3239 Ba
0.2318 0.4396 0.8239 Ba
0.2335 0.7206 0.4512 Ba
0.2335 0.7794 0.9512 Ba
0.7665 0.2206 0.0488 Ba
0.7665 0.2794 0.5488 Ba
0.7682 0.5604 0.1761 Ba
0.7682 0.9396 0.6761 Ba
0.2811 0.1270 0.7811 La
0.2811 0.3730 0.2811 La
0.7189 0.6270 0.7189 La
0.7189 0.8730 0.2189 La
0.0024 0.2391 0.3040 I
0.0024 0.2609 0.8040 I
0.0044 0.1041 0.5781 I
0.0044 0.3959 0.0781 I
0.2007 0.5455 0.2868 I
0.2007 0.9545 0.7868 I
0.2055 0.1413 0.0379 I
0.2055 0.3587 0.5379 I
0.3565 0.5695 0.6202 I
0.3565 0.9305 0.1202 I
0.4931 0.6027 0.9359 I
0.4931 0.8973 0.4359 I
0.4961 0.7231 0.2052 I
0.4961 0.7769 0.7052 I
0.5039 0.2231 0.2948 I
0.5039 0.2769 0.7948 I
0.5069 0.1027 0.5641 I
0.5069 0.3973 0.0641 I
0.6435 0.0695 0.8798 I
0.6435 0.4305 0.3798 I
0.7945 0.6413 0.4621 I
0.7945 0.8587 0.9621 I
0.7993 0.0455 0.2132 I
0.7993 0.4545 0.7132 I
0.9956 0.6041 0.9219 I
0.9956 0.8959 0.4219 I
0.9976 0.7391 0.1960 I
0.9976 0.7609 0.6960 I
```

# 6
Theoretical powder X-ray diffraction pattern of Eu2MgTi2O6 for Cu Kα (weighted mean of Kα1 and Kα2), from a GGA-PBE-relaxed structure.
Neutral-atom scattering factors, no anomalous dispersion.

Largest 6 diffraction maxima, sorted by position, 2θ from 10° to 90°:
d [Å], I/Imax
4.837, 67
2.960, 48
2.908, 38
2.844, 100
2.632, 76
2.570, 44

Atomic structure:
```
Eu2MgTi2O6
1.0
4.0353 -4.0111 0.0000
4.0353 4.0111 0.0000
-3.8528 0.0000 4.3851
Eu Mg Ti O
2 1 2 6
Direct
0.1492 0.1492 0.3624 Eu
0.8508 0.8508 0.6376 Eu
0.5000 0.5000 0.0000 Mg
0.0000 0.5000 0.0000 Ti
0.5000 0.0000 0.0000 Ti
0.2134 0.7866 0.5000 O
0.2519 0.7481 0.0000 O
0.2730 0.2730 0.0439 O
0.7270 0.7270 0.9561 O
0.7481 0.2519 0.0000 O
0.7866 0.2134 0.5000 O
```